[1]
For Tm2Ni2Pb, a DFT-relaxed cell (PBE, the Materials Project) gives the computed X-ray diffraction stick pattern in this record (λ = 1.5418 Å (Cu Kα)).
Kinematic intensities with the Lorentz-polarization factor, no thermal factor.

Main lines, in order of rising 2θ (5° ≤ 2θ ≤ 70°):
- 29.51 deg, I = 53
- 34.11 deg, I = 100
- 35.34 deg, I = 65
- 39.14 deg, I = 30
- 46.06 deg, I = 23
- 50.08 deg, I = 18
- 57.04 deg, I = 22
- 59.36 deg, I = 30

Crystal structure
```
data_Tm2Ni2Pb
_chemical_formula_sum 'Tm2 Ni2 Pb1'
_cell_length_a 7.3567
_cell_length_b 7.3567
_cell_length_c 3.6425
_cell_angle_alpha 90.00
_cell_angle_beta 90.00
_cell_angle_gamma 148.92
_symmetry_space_group_name_H-M 'P 1'
_symmetry_Int_Tables_number 1
loop_
_symmetry_equiv_pos_as_xyz
'x,y,z'
loop_
_atom_site_label
_atom_site_type_symbol
_atom_site_fract_x
_atom_site_fract_y
_atom_site_fract_z
Tm1 Tm 0.1410 0.8590 0.0000
Tm2 Tm 0.8590 0.1410 0.0000
Ni1 Ni 0.3013 0.6987 0.5000
Ni2 Ni 0.6987 0.3013 0.5000
Pb1 Pb 0.5000 0.5000 0.5000
```

=====

[2]
For Ba2P7Cl, a DFT-relaxed cell (PBE, the Materials Project) gives the computed X-ray diffraction stick pattern in this record (λ = 1.5418 Å (Cu Kα)).
Kinematic intensities with the Lorentz-polarization factor, no thermal factor.

Main lines, in order of rising 2θ (5° ≤ 2θ ≤ 70°):
- 20.80 deg, I = 93
- 23.37 deg, I = 58
- 25.71 deg, I = 61
- 30.55 deg, I = 100
- 32.17 deg, I = 50
- 32.47 deg, I = 83
- 39.60 deg, I = 49
- 40.29 deg, I = 47

Crystal structure
```
data_Ba2P7Cl
_chemical_formula_sum 'Ba4 P14 Cl2'
_cell_length_a 6.4216
_cell_length_b 6.9297
_cell_length_c 11.8797
_cell_angle_alpha 90.00
_cell_angle_beta 95.23
_cell_angle_gamma 90.00
_symmetry_space_group_name_H-M 'P 1'
_symmetry_Int_Tables_number 1
loop_
_symmetry_equiv_pos_as_xyz
'x,y,z'
loop_
_atom_site_label
_atom_site_type_symbol
_atom_site_fract_x
_atom_site_fract_y
_atom_site_fract_z
Ba1 Ba 0.0672 0.2500 0.3469
Ba2 Ba 0.2707 0.2500 0.9543
Ba3 Ba 0.7293 0.7500 0.0457
Ba4 Ba 0.9328 0.7500 0.6531
P1 P 0.1745 0.7500 0.4065
P2 P 0.1784 0.7500 0.2224
P3 P 0.3553 0.0803 0.6869
P4 P 0.3553 0.4197 0.6869
P5 P 0.3830 0.5060 0.1952
P6 P 0.3830 0.9940 0.1952
P7 P 0.4911 0.2500 0.5505
P8 P 0.5089 0.7500 0.4495
P9 P 0.6170 0.0060 0.8048
P10 P 0.6170 0.4940 0.8048
P11 P 0.6447 0.5803 0.3131
P12 P 0.6447 0.9197 0.3131
P13 P 0.8216 0.2500 0.7776
P14 P 0.8255 0.2500 0.5935
Cl1 Cl 0.1350 0.7500 0.9110
Cl2 Cl 0.8650 0.2500 0.0890
```

=====

[3]
For Pa3Sb, a DFT-relaxed cell (PBE, the Materials Project) gives the computed X-ray diffraction stick pattern in this record (λ = 1.5418 Å (Cu Kα)).
Kinematic intensities with the Lorentz-polarization factor, no thermal factor.

Main lines, in order of rising 2θ (5° ≤ 2θ ≤ 70°):
- 19.29 deg, I = 5
- 27.41 deg, I = 4
- 33.73 deg, I = 100
- 39.15 deg, I = 50
- 44.00 deg, I = 3
- 48.45 deg, I = 2
- 56.56 deg, I = 35
- 67.50 deg, I = 42

Crystal structure
```
data_Pa3Sb
_chemical_formula_sum 'Pa3 Sb1'
_cell_length_a 4.6021
_cell_length_b 4.6021
_cell_length_c 4.6021
_cell_angle_alpha 90.00
_cell_angle_beta 90.00
_cell_angle_gamma 90.00
_symmetry_space_group_name_H-M 'P 1'
_symmetry_Int_Tables_number 1
loop_
_symmetry_equiv_pos_as_xyz
'x,y,z'
loop_
_atom_site_label
_atom_site_type_symbol
_atom_site_fract_x
_atom_site_fract_y
_atom_site_fract_z
Pa1 Pa 0.0000 0.0000 0.5000
Pa2 Pa 0.0000 0.5000 0.0000
Pa3 Pa 0.5000 0.0000 0.0000
Sb1 Sb 0.5000 0.5000 0.5000
```

=====

[4]
For Mg2Mo3WS8, a DFT-relaxed cell (PBE, the Materials Project) gives the computed X-ray diffraction stick pattern in this record (λ = 1.5418 Å (Cu Kα)).
Kinematic intensities with the Lorentz-polarization factor, no thermal factor.

Main lines, in order of rising 2θ (5° ≤ 2θ ≤ 70°):
- 14.49 deg, I = 100
- 28.35 deg, I = 52
- 29.51 deg, I = 26
- 34.53 deg, I = 79
- 44.46 deg, I = 16
- 45.26 deg, I = 22
- 48.14 deg, I = 38
- 51.10 deg, I = 31

Crystal structure
```
data_Mg2Mo3WS8
_chemical_formula_sum 'Mg2 Mo3 W1 S8'
_cell_length_a 7.1705
_cell_length_b 7.1705
_cell_length_c 7.1705
_cell_angle_alpha 63.63
_cell_angle_beta 63.63
_cell_angle_gamma 63.63
_symmetry_space_group_name_H-M 'P 1'
_symmetry_Int_Tables_number 1
loop_
_symmetry_equiv_pos_as_xyz
'x,y,z'
loop_
_atom_site_label
_atom_site_type_symbol
_atom_site_fract_x
_atom_site_fract_y
_atom_site_fract_z
Mg1 Mg 0.1222 0.1222 0.1222
Mg2 Mg 0.8778 0.8778 0.8778
Mo1 Mo 0.0000 0.5000 0.5000
Mo2 Mo 0.5000 0.0000 0.5000
Mo3 Mo 0.5000 0.5000 0.0000
W1 W 0.5000 0.5000 0.5000
S1 S 0.2600 0.2600 0.7219
S2 S 0.2600 0.7219 0.2600
S3 S 0.2616 0.2616 0.2616
S4 S 0.2781 0.7400 0.7400
S5 S 0.7219 0.2600 0.2600
S6 S 0.7384 0.7384 0.7384
S7 S 0.7400 0.2781 0.7400
S8 S 0.7400 0.7400 0.2781
```

=====

[5]
For CaB4, a DFT-relaxed cell (PBE, the Materials Project) gives the computed X-ray diffraction stick pattern in this record (λ = 1.5418 Å (Cu Kα)).
Kinematic intensities with the Lorentz-polarization factor, no thermal factor.

Main lines, in order of rising 2θ (5° ≤ 2θ ≤ 70°):
- 27.87 deg, I = 42
- 33.21 deg, I = 51
- 35.56 deg, I = 100
- 41.94 deg, I = 18
- 44.12 deg, I = 17
- 45.77 deg, I = 21
- 52.73 deg, I = 26
- 57.65 deg, I = 14

Crystal structure
```
data_CaB4
_chemical_formula_sum 'Ca4 B16'
_cell_length_a 7.1580
_cell_length_b 7.1580
_cell_length_c 4.1050
_cell_angle_alpha 90.00
_cell_angle_beta 90.00
_cell_angle_gamma 90.00
_symmetry_space_group_name_H-M 'P 1'
_symmetry_Int_Tables_number 1
loop_
_symmetry_equiv_pos_as_xyz
'x,y,z'
loop_
_atom_site_label
_atom_site_type_symbol
_atom_site_fract_x
_atom_site_fract_y
_atom_site_fract_z
Ca1 Ca 0.1831 0.3169 0.0000
Ca2 Ca 0.3169 0.8169 0.0000
Ca3 Ca 0.6831 0.1831 0.0000
Ca4 Ca 0.8169 0.6831 0.0000
B1 B 0.0000 0.0000 0.2058
B2 B 0.0000 0.0000 0.7942
B3 B 0.0359 0.8247 0.5000
B4 B 0.0850 0.5850 0.5000
B5 B 0.1753 0.0359 0.5000
B6 B 0.3247 0.5359 0.5000
B7 B 0.4150 0.0850 0.5000
B8 B 0.4641 0.3247 0.5000
B9 B 0.5000 0.5000 0.2058
B10 B 0.5000 0.5000 0.7942
B11 B 0.5359 0.6753 0.5000
B12 B 0.5850 0.9150 0.5000
B13 B 0.6753 0.4641 0.5000
B14 B 0.8247 0.9641 0.5000
B15 B 0.9150 0.4150 0.5000
B16 B 0.9641 0.1753 0.5000
```

=====

[6]
For CaMn2P2, a DFT-relaxed cell (PBE, the Materials Project) gives the computed X-ray diffraction stick pattern in this record (λ = 1.5418 Å (Cu Kα)).
Kinematic intensities with the Lorentz-polarization factor, no thermal factor.

Main lines, in order of rising 2θ (5° ≤ 2θ ≤ 70°):
- 13.05 deg, I = 44
- 27.14 deg, I = 16
- 30.22 deg, I = 100
- 38.14 deg, I = 62
- 39.88 deg, I = 18
- 47.95 deg, I = 71
- 48.90 deg, I = 43
- 64.08 deg, I = 24

Crystal structure
```
data_CaMn2P2
_chemical_formula_sum 'Ca1 Mn2 P2'
_cell_length_a 3.7946
_cell_length_b 3.7946
_cell_length_c 6.7817
_cell_angle_alpha 90.00
_cell_angle_beta 90.00
_cell_angle_gamma 120.00
_symmetry_space_group_name_H-M 'P 1'
_symmetry_Int_Tables_number 1
loop_
_symmetry_equiv_pos_as_xyz
'x,y,z'
loop_
_atom_site_label
_atom_site_type_symbol
_atom_site_fract_x
_atom_site_fract_y
_atom_site_fract_z
Ca1 Ca 0.0000 0.0000 0.0000
Mn1 Mn 0.3333 0.6667 0.6166
Mn2 Mn 0.6667 0.3333 0.3834
P1 P 0.3333 0.6667 0.2820
P2 P 0.6667 0.3333 0.7180
```

=====

[7]
For Ca6Cr2HN6, a DFT-relaxed cell (PBE, the Materials Project) gives the computed X-ray diffraction stick pattern in this record (λ = 1.5418 Å (Cu Kα)).
Kinematic intensities with the Lorentz-polarization factor, no thermal factor.

Main lines, in order of rising 2θ (5° ≤ 2θ ≤ 70°):
- 14.89 deg, I = 43
- 31.92 deg, I = 78
- 35.38 deg, I = 47
- 36.21 deg, I = 100
- 43.01 deg, I = 16
- 50.28 deg, I = 25
- 53.95 deg, I = 37
- 64.07 deg, I = 16

Crystal structure
```
data_Ca6Cr2HN6
_chemical_formula_sum 'Ca6 Cr2 H1 N6'
_cell_length_a 6.0332
_cell_length_b 6.0332
_cell_length_c 6.0332
_cell_angle_alpha 96.37
_cell_angle_beta 96.37
_cell_angle_gamma 96.37
_symmetry_space_group_name_H-M 'P 1'
_symmetry_Int_Tables_number 1
loop_
_symmetry_equiv_pos_as_xyz
'x,y,z'
loop_
_atom_site_label
_atom_site_type_symbol
_atom_site_fract_x
_atom_site_fract_y
_atom_site_fract_z
Ca1 Ca 0.1090 0.7866 0.6257
Ca2 Ca 0.2134 0.3743 0.8910
Ca3 Ca 0.3743 0.8910 0.2134
Ca4 Ca 0.6257 0.1090 0.7866
Ca5 Ca 0.7866 0.6257 0.1090
Ca6 Ca 0.8910 0.2134 0.3743
Cr1 Cr 0.3784 0.3784 0.3784
Cr2 Cr 0.6216 0.6216 0.6216
H1 H 0.0000 0.0000 0.0000
N1 N 0.1535 0.5285 0.2746
N2 N 0.2746 0.1535 0.5285
N3 N 0.4715 0.7254 0.8465
N4 N 0.5285 0.2746 0.1535
N5 N 0.7254 0.8465 0.4715
N6 N 0.8465 0.4715 0.7254
```

=====

[8]
For AlCr3B4, a DFT-relaxed cell (PBE, the Materials Project) gives the computed X-ray diffraction stick pattern in this record (λ = 1.5418 Å (Cu Kα)).
Kinematic intensities with the Lorentz-polarization factor, no thermal factor.

Main lines, in order of rising 2θ (5° ≤ 2θ ≤ 70°):
- 30.41 deg, I = 40
- 32.39 deg, I = 21
- 33.26 deg, I = 26
- 37.82 deg, I = 100
- 45.01 deg, I = 68
- 45.69 deg, I = 78
- 49.28 deg, I = 59
- 63.24 deg, I = 35

Crystal structure
```
data_AlCr3B4
_chemical_formula_sum 'Al1 Cr3 B4'
_cell_length_a 2.9388
_cell_length_b 2.9429
_cell_length_c 8.0810
_cell_angle_alpha 90.00
_cell_angle_beta 90.00
_cell_angle_gamma 90.00
_symmetry_space_group_name_H-M 'P 1'
_symmetry_Int_Tables_number 1
loop_
_symmetry_equiv_pos_as_xyz
'x,y,z'
loop_
_atom_site_label
_atom_site_type_symbol
_atom_site_fract_x
_atom_site_fract_y
_atom_site_fract_z
Al1 Al 0.0000 0.0000 0.0000
Cr1 Cr 0.5000 0.0000 0.5000
Cr2 Cr 0.5000 0.5000 0.2021
Cr3 Cr 0.5000 0.5000 0.7979
B1 B 0.0000 0.0000 0.2769
B2 B 0.0000 0.0000 0.7231
B3 B 0.0000 0.5000 0.3921
B4 B 0.0000 0.5000 0.6079
```